Structure and computed powder diffraction line list of VCN2 (a cell relaxed with GGA-PBE; a wavelength of 1.5418 Å).
Peak positions follow from Bragg's law for the DFT cell and can differ from measured ones.

Peak list (12 most intense, 10° ≤ 2θ ≤ 90°, low angle first)
2θ = 17.48°, I 67, (0 0 2); 2θ = 35.39°, I 9, (0 0 4); 2θ = 35.77°, I 22, (1 0 0); 2θ = 36.88°, I 27, (1 0 1); 2θ = 40.07°, I 100, (1 0 2); 2θ = 51.20°, I 49, (1 0 4); 2θ = 64.26°, I 23, (1 1 0); 2θ = 66.69°, I 18, (1 0 6); 2θ = 67.17°, I 10, (1 1 2); 2θ = 75.55°, I 6, (1 1 4); 2θ = 78.49°, I 11, (2 0 2); 2θ = 86.51°, I 9, (2 0 4)

```
VCN2
1.0
2.899 0.000 0.000
-1.449 2.511 0.000
0.000 0.000 10.145
V C N
2 2 4
Direct
0.000 0.000 0.000
0.000 0.000 0.500
0.333 0.667 0.250
0.667 0.333 0.750
0.333 0.667 0.127
0.333 0.667 0.373
0.667 0.333 0.627
0.667 0.333 0.873
```